Structure and simulated powder XRD pattern of La2Pr12Sc (the PBE geometry in Alexandria; Cu Kα).
Intensities are scaled so that the largest is 100.

Lattice parameters (Å, degrees): 6.717 6.717 25.137 90.00 90.00 90.00
Element x y z (fractional)
La 0.250 0.750 0.241
La 0.250 0.750 0.759
La 0.750 0.250 0.241
La 0.750 0.250 0.759
Pr 0.056 0.556 0.396
Pr 0.056 0.944 0.604
Pr 0.082 0.582 0.063
Pr 0.082 0.918 0.937
Pr 0.250 0.250 0.165
Pr 0.250 0.250 0.292
Pr 0.250 0.250 0.708
Pr 0.250 0.250 0.835
Pr 0.418 0.582 0.937
Pr 0.418 0.918 0.063
Pr 0.444 0.556 0.604
Pr 0.444 0.944 0.396
Pr 0.556 0.056 0.604
Pr 0.556 0.444 0.396
Pr 0.582 0.082 0.937
Pr 0.582 0.418 0.063
Pr 0.750 0.750 0.165
Pr 0.750 0.750 0.292
Pr 0.750 0.750 0.708
Pr 0.750 0.750 0.835
Pr 0.918 0.082 0.063
Pr 0.918 0.418 0.937
Pr 0.944 0.056 0.396
Pr 0.944 0.444 0.604
Sc 0.250 0.750 0.500
Sc 0.750 0.250 0.500

Principal peaks in the range 2θ = 10–80°, by intensity:
27.49°, 3.244 Å, I 100
31.64°, 2.828 Å, I 83
32.05°, 2.793 Å, I 54
28.41°, 3.142 Å, I 47
37.89°, 2.375 Å, I 46
30.17°, 2.962 Å, I 43
31.23°, 2.864 Å, I 41
34.22°, 2.620 Å, I 36

---

Structure and simulated powder XRD pattern of Rb2Cu3P4O14 (the PBE geometry in Alexandria; Cu Kα).
Intensities are scaled so that the largest is 100.

Lattice parameters (Å, degrees): 7.855 11.125 7.849 90.00 104.70 90.00
Element x y z (fractional)
Rb 0.246 0.185 0.458
Rb 0.246 0.315 0.958
Rb 0.754 0.685 0.042
Rb 0.754 0.815 0.542
Cu 0.000 0.000 0.000
Cu 0.000 0.500 0.500
Cu 0.274 0.605 0.268
Cu 0.274 0.895 0.768
Cu 0.726 0.105 0.232
Cu 0.726 0.395 0.732
P 0.128 0.660 0.841
P 0.128 0.840 0.341
P 0.385 0.548 0.668
P 0.385 0.952 0.168
P 0.615 0.048 0.832
P 0.615 0.452 0.332
P 0.872 0.160 0.659
P 0.872 0.340 0.159
O 0.018 0.098 0.800
O 0.018 0.402 0.300
O 0.095 0.703 0.337
O 0.095 0.797 0.837
O 0.141 0.602 0.020
O 0.141 0.898 0.520
O 0.243 0.050 0.121
O 0.243 0.450 0.621
O 0.316 0.647 0.790
O 0.316 0.853 0.290
O 0.419 0.619 0.513
O 0.419 0.881 0.013
O 0.444 0.003 0.705
O 0.444 0.497 0.205
O 0.556 0.503 0.795
O 0.556 0.997 0.295
O 0.581 0.119 0.987
O 0.581 0.381 0.487
O 0.684 0.147 0.710
O 0.684 0.353 0.210
O 0.757 0.550 0.379
O 0.757 0.950 0.879
O 0.859 0.102 0.480
O 0.859 0.398 0.980
O 0.905 0.203 0.163
O 0.905 0.297 0.663
O 0.982 0.598 0.700
O 0.982 0.902 0.200

Principal peaks in the range 2θ = 10–80°, by intensity:
28.43°, 3.140 Å, I 100
26.75°, 3.332 Å, I 73
29.95°, 2.983 Å, I 46
24.73°, 3.600 Å, I 40
35.34°, 2.539 Å, I 31
40.18°, 2.245 Å, I 24
48.69°, 1.870 Å, I 20
23.42°, 3.799 Å, I 17

---

Structure and simulated powder XRD pattern of DyEr2PuSc4 (the PBE geometry in Alexandria; Cu Kα).
Intensities are scaled so that the largest is 100.

Lattice parameters (Å, degrees): 8.926 8.926 8.926 137.47 102.71 92.46
Element x y z (fractional)
Dy 0.500 0.000 0.000
Dy 0.500 0.500 0.500
Er 0.000 0.000 0.000
Er 0.000 0.000 0.500
Er 0.000 0.500 0.000
Er 0.500 0.000 0.500
Pu 0.000 0.500 0.500
Pu 0.500 0.500 0.000
Sc 0.237 0.738 0.499
Sc 0.249 0.264 0.515
Sc 0.249 0.734 0.985
Sc 0.261 0.262 0.999
Sc 0.739 0.738 0.001
Sc 0.751 0.266 0.015
Sc 0.751 0.736 0.485
Sc 0.763 0.262 0.501

Principal peaks in the range 2θ = 10–80°, by intensity:
31.97°, 2.799 Å, I 100
21.48°, 4.137 Å, I 95
43.65°, 2.074 Å, I 84
28.92°, 3.087 Å, I 65
32.12°, 2.787 Å, I 50
43.76°, 2.069 Å, I 42
31.20°, 2.867 Å, I 39
69.58°, 1.351 Å, I 30

---

Structure and simulated powder XRD pattern of Cd9GaHg6 (the PBE geometry in Alexandria; Cu Kα).
Intensities are scaled so that the largest is 100.

Lattice parameters (Å, degrees): 8.639 8.639 8.639 128.60 128.60 75.66
Element x y z (fractional)
Cd 0.000 0.000 0.000
Cd 0.043 0.841 0.552
Cd 0.159 0.710 0.202
Cd 0.290 0.492 0.448
Cd 0.492 0.043 0.202
Cd 0.508 0.957 0.798
Cd 0.710 0.508 0.552
Cd 0.841 0.290 0.798
Cd 0.957 0.159 0.448
Ga 0.500 0.500 0.000
Hg 0.158 0.636 0.795
Hg 0.290 0.290 0.000
Hg 0.364 0.158 0.522
Hg 0.636 0.842 0.478
Hg 0.710 0.710 0.000
Hg 0.842 0.364 0.205

Principal peaks in the range 2θ = 10–80°, by intensity:
33.21°, 2.698 Å, I 100
37.97°, 2.370 Å, I 43
56.05°, 1.641 Å, I 15
39.63°, 2.274 Å, I 14
65.60°, 1.423 Å, I 13
70.83°, 1.330 Å, I 11
67.85°, 1.381 Å, I 10
54.79°, 1.675 Å, I 9

---

Structure and simulated powder XRD pattern of Ac2HoPtO6 (the PBE geometry in Alexandria; Cu Kα).
Intensities are scaled so that the largest is 100.

Lattice parameters (Å, degrees): 6.592 6.592 5.218 110.58 110.58 50.84
Element x y z (fractional)
Ac 0.240 0.240 0.218
Ac 0.760 0.760 0.782
Ho 0.500 0.500 0.000
Pt 0.000 0.000 0.500
O 0.155 0.677 0.206
O 0.305 0.305 0.705
O 0.323 0.845 0.794
O 0.677 0.155 0.206
O 0.695 0.695 0.295
O 0.845 0.323 0.794

Principal peaks in the range 2θ = 10–80°, by intensity:
28.94°, 3.086 Å, I 100
27.87°, 3.201 Å, I 96
31.62°, 2.829 Å, I 37
32.65°, 2.742 Å, I 33
46.09°, 1.969 Å, I 30
47.44°, 1.917 Å, I 30
34.42°, 2.605 Å, I 27
54.68°, 1.679 Å, I 17

---

Structure and simulated powder XRD pattern of TbPr4Sb5 (the PBE geometry in Alexandria; Cu Kα).
Intensities are scaled so that the largest is 100.

Lattice parameters (Å, degrees): 16.313 16.313 16.313 164.04 164.04 22.65
Element x y z (fractional)
Tb 0.000 0.000 0.000
Pr 0.199 0.199 0.000
Pr 0.401 0.401 0.000
Pr 0.599 0.599 0.000
Pr 0.801 0.801 0.000
Sb 0.098 0.098 0.000
Sb 0.300 0.300 0.000
Sb 0.500 0.500 0.000
Sb 0.700 0.700 0.000
Sb 0.902 0.902 0.000

Principal peaks in the range 2θ = 10–80°, by intensity:
27.87°, 3.202 Å, I 100
39.82°, 2.264 Å, I 77
49.30°, 1.849 Å, I 27
72.28°, 1.307 Å, I 26
65.13°, 1.432 Å, I 24
57.57°, 1.601 Å, I 13
65.19°, 1.431 Å, I 12
24.07°, 3.697 Å, I 2

---

Copy entry 4 word for word.
Structure and simulated powder XRD pattern of Cd9GaHg6 (the PBE geometry in Alexandria; Cu Kα).
Intensities are scaled so that the largest is 100.

Lattice parameters (Å, degrees): 8.639 8.639 8.639 128.60 128.60 75.66
Element x y z (fractional)
Cd 0.000 0.000 0.000
Cd 0.043 0.841 0.552
Cd 0.159 0.710 0.202
Cd 0.290 0.492 0.448
Cd 0.492 0.043 0.202
Cd 0.508 0.957 0.798
Cd 0.710 0.508 0.552
Cd 0.841 0.290 0.798
Cd 0.957 0.159 0.448
Ga 0.500 0.500 0.000
Hg 0.158 0.636 0.795
Hg 0.290 0.290 0.000
Hg 0.364 0.158 0.522
Hg 0.636 0.842 0.478
Hg 0.710 0.710 0.000
Hg 0.842 0.364 0.205

Principal peaks in the range 2θ = 10–80°, by intensity:
33.21°, 2.698 Å, I 100
37.97°, 2.370 Å, I 43
56.05°, 1.641 Å, I 15
39.63°, 2.274 Å, I 14
65.60°, 1.423 Å, I 13
70.83°, 1.330 Å, I 11
67.85°, 1.381 Å, I 10
54.79°, 1.675 Å, I 9